The following is a computed powder X-ray diffraction pattern of Li4Ni2P4H3O16. It was derived from a crystal structure in Alexandria, relaxed with PBE+U, using Cu Kα, 1.54184 Å.
Neutral-atom scattering factors, no anomalous dispersion.

Structure:
Unit cell a=4.9197 b=7.6091 c=8.2476 alpha=91.16 beta=91.07 gamma=102.92
Atoms (fractional coordinates):
Li  0.0000  0.0000  0.0000
Li  0.2172  0.3139  0.7416
Li  0.4928  0.4715  0.2259
Li  0.7391  0.8333  0.5258
Ni  0.1066  0.1510  0.3737
Ni  0.6176  0.6549  0.8739
P  0.2429  0.9121  0.7190
P  0.4890  0.9024  0.2068
P  0.7244  0.4063  0.5366
P  0.9821  0.3886  0.0250
H  0.0546  0.6321  0.4454
H  0.1519  0.6623  0.2159
H  0.5680  0.1375  0.8592
O  0.0067  0.8147  0.8257
O  0.0903  0.3434  0.1934
O  0.1303  0.9609  0.5548
O  0.2295  0.4918  0.9260
O  0.2612  0.0094  0.1885
O  0.3312  0.7037  0.2756
O  0.3648  0.0998  0.8134
O  0.4688  0.8038  0.6959
O  0.4960  0.3174  0.4141
O  0.6073  0.4516  0.6985
O  0.6132  0.8611  0.0455
O  0.7111  0.9766  0.3369
O  0.7743  0.5123  0.0554
O  0.8507  0.6017  0.4555
O  0.8559  0.2123  0.9285
O  0.9616  0.3066  0.5528

Top 10 peaks for 2θ = 10–90°, by angle:
h k l  2θ/deg  I_rel
0 1 -1  15.87  55.8
0 1 1  16.28  49.2
-1 1 1  22.39  28.1
1 1 0  24.26  100.0
0 1 -2  24.44  30.6
1 0 -2  28.21  25.8
1 -2 1  28.95  74.9
-1 2 1  29.10  48.3
0 2 -2  32.07  34.9
0 2 2  32.90  36.5